(1)
For Re3RuN6O14, a PBE-relaxed structure gives the simulated X-ray powder pattern in this record (Cu Kα X-rays).
Neutral-atom scattering factors, no anomalous dispersion.

Crystal structure
a = 11.1372 Å, b = 11.2446 Å, c = 16.0671 Å
α = 90.00°, β = 106.98°, γ = 90.00°
Space group C2/c (No. 15)
One atom of each set of equivalent atoms:
1 Re 0.0000 0.0689 0.2500 [4 per cell]
2 Re 0.1914 0.3192 0.3446 [8 per cell]
3 Ru 0.2500 0.2500 0.0000 [4 per cell]
4 N 0.1021 0.1491 0.0067 [8 per cell]
5 N 0.1688 0.3809 0.0188 [8 per cell]
6 N 0.1726 0.2694 0.8684 [8 per cell]
7 O 0.0108 0.0222 0.8379 [8 per cell]
8 O 0.0745 0.2830 0.3912 [8 per cell]
9 O 0.1067 0.3724 0.6533 [8 per cell]
10 O 0.1263 0.2640 0.6395 [8 per cell]
11 O 0.1290 0.4031 0.2524 [8 per cell]
12 O 0.1422 0.1554 0.2704 [8 per cell]
13 O 0.2156 0.0822 0.5821 [8 per cell]

Main lines, in order of rising 2θ (10° ≤ 2θ ≤ 90°):
2θ 11.5, I = 39.4, hkl 0 0 2
2θ 11.7, I = 56.3, hkl 1 1 -1
2θ 17.3, I = 34.2, hkl 2 0 -2
2θ 17.9, I = 27.8, hkl 1 1 2
2θ 18.6, I = 100.0, hkl 1 1 -3
2θ 22.8, I = 31.3, hkl 1 1 3
2θ 23.0, I = 33.5, hkl 2 2 0
2θ 24.9, I = 30.6, hkl 2 2 1
2θ 26.3, I = 19.3, hkl 3 1 0
2θ 26.7, I = 22.9, hkl 1 3 -2

=====

(2)
For Lu5SbPd2, a PBE-relaxed structure gives the simulated X-ray powder pattern in this record (Cu Kα X-rays).
Neutral-atom scattering factors, no anomalous dispersion.

Crystal structure
a = 7.5634 Å, b = 7.5634 Å, c = 13.5326 Å
α = 90.00°, β = 90.00°, γ = 90.00°
Space group I4/mcm (No. 140)
One atom of each set of equivalent atoms:
1 Lu 0.0000 0.0000 0.0000 [4 per cell]
2 Lu 0.1558 0.3442 0.1433 [16 per cell]
3 Sb 0.0000 0.0000 0.2500 [4 per cell]
4 Pd 0.1382 0.3618 0.5000 [8 per cell]

Main lines, in order of rising 2θ (10° ≤ 2θ ≤ 90°):
2θ 27.2, I = 11.0, hkl 2 1 1
2θ 31.3, I = 22.0, hkl 1 1 4
2θ 33.1, I = 100.0, hkl 2 1 3
2θ 35.6, I = 24.0, hkl 2 0 4
2θ 37.6, I = 53.6, hkl 3 1 0
2θ 54.0, I = 10.5, hkl 4 1 3
2θ 54.2, I = 14.3, hkl 0 0 8
2θ 58.5, I = 12.7, hkl 3 3 4
2θ 67.9, I = 12.5, hkl 3 1 8
2θ 70.2, I = 16.2, hkl 5 2 3

=====

(3)
For LuH9C5N2O8, a PBE-relaxed structure gives the simulated X-ray powder pattern in this record (Cu Kα X-rays).
Neutral-atom scattering factors, no anomalous dispersion.

Crystal structure
a = 6.6929 Å, b = 18.1981 Å, c = 8.5113 Å
α = 90.00°, β = 90.00°, γ = 90.00°
Space group C222_1 (No. 20)
One atom of each set of equivalent atoms:
1 Lu 0.0000 0.1420 0.2500 [4 per cell]
2 H 0.0000 0.3128 0.7500 [4 per cell]
3 H 0.0000 0.3447 0.2500 [4 per cell]
4 H 0.1523 0.4947 0.3298 [8 per cell]
5 H 0.2164 0.2902 0.0615 [8 per cell]
6 H 0.2347 0.0000 0.5000 [4 per cell]
7 H 0.2362 0.4074 0.3987 [8 per cell]
8 C 0.0000 0.3736 0.7500 [4 per cell]
9 C 0.0000 0.4049 0.2500 [4 per cell]
10 C 0.0695 0.0000 0.5000 [4 per cell]
11 C 0.2392 0.2448 0.9765 [8 per cell]
12 N 0.1371 0.4384 0.3343 [8 per cell]
13 O 0.0202 0.0501 0.0749 [8 per cell]
14 O 0.1669 0.4061 0.7643 [8 per cell]
15 O 0.1731 0.2407 0.3480 [8 per cell]
16 O 0.1761 0.1818 0.0161 [8 per cell]

Main lines, in order of rising 2θ (10° ≤ 2θ ≤ 90°):
2θ 14.1, I = 28.1, hkl 1 1 0
2θ 14.2, I = 100.0, hkl 0 2 1
2θ 17.5, I = 74.0, hkl 1 1 1
2θ 19.8, I = 20.8, hkl 1 3 0
2θ 20.9, I = 15.1, hkl 0 0 2
2θ 28.7, I = 25.4, hkl 0 4 2
2θ 28.9, I = 22.1, hkl 1 3 2
2θ 30.3, I = 23.3, hkl 2 2 1
2θ 42.6, I = 13.1, hkl 1 5 3
2θ 43.0, I = 18.9, hkl 1 7 2

=====

(4)
For LuSi2Pt2, a PBE-relaxed structure gives the simulated X-ray powder pattern in this record (Cu Kα X-rays).
Neutral-atom scattering factors, no anomalous dispersion.

Crystal structure
a = 4.1823 Å, b = 4.1823 Å, c = 9.7661 Å
α = 90.00°, β = 90.00°, γ = 90.00°
Space group I4/mmm (No. 139)
One atom of each set of equivalent atoms:
1 Lu 0.0000 0.0000 0.0000 [2 per cell]
2 Si 0.0000 0.0000 0.3830 [4 per cell]
3 Pt 0.0000 0.5000 0.2500 [4 per cell]

Main lines, in order of rising 2θ (10° ≤ 2θ ≤ 90°):
2θ 18.2, I = 17.0, hkl 0 0 2
2θ 23.1, I = 15.4, hkl 1 0 1
2θ 34.9, I = 14.2, hkl 1 0 3
2θ 35.5, I = 100.0, hkl 1 1 2
2θ 36.8, I = 18.0, hkl 0 0 4
2θ 43.3, I = 34.4, hkl 2 0 0
2θ 58.1, I = 19.7, hkl 2 0 4
2θ 62.8, I = 11.5, hkl 2 2 0
2θ 65.5, I = 15.9, hkl 1 1 6
2θ 74.3, I = 23.9, hkl 3 1 2